# 1
Structure and simulated powder XRD pattern of PrSmHoN3 (DFT lattice parameters and positions (GGA-PBE); copper Kα).

Largest 10 diffraction maxima, in order of rising 2θ, 10 to 80 degrees two-theta:
(2 0 -1), 29.42°, 3.036 Å, rel. 38; (0 0 3), 29.77°, 3.001 Å, rel. 65; (1 0 -3), 30.44°, 2.936 Å, rel. 17; (1 1 1), 31.83°, 2.812 Å, rel. 100; (1 1 -2), 33.62°, 2.666 Å, rel. 91; (2 0 2), 39.37°, 2.289 Å, rel. 20; (0 2 0), 51.29°, 1.781 Å, rel. 20; (3 1 -2), 52.87°, 1.732 Å, rel. 30; (2 1 -5), 60.18°, 1.538 Å, rel. 23; (1 0 -6), 60.42°, 1.532 Å, rel. 22

```
data_PrSmHoN3
_space_group_name_H-M_alt 'P 1 21/m 1'
_space_group_IT_number 11
_space_group_name_Hall '-P 2yb'
_cell_length_a 6.1235
_cell_length_b 3.5628
_cell_length_c 9.2043
_cell_angle_alpha 90.00
_cell_angle_beta 101.79
_cell_angle_gamma 90.00
loop_
_atom_site_label
_atom_site_fract_x
_atom_site_fract_y
_atom_site_fract_z
Pr1 0.1519 0.2500 0.1956
Sm1 0.2692 0.7500 0.5464
Ho1 0.3529 0.2500 0.8612
N1 0.0420 0.2500 0.6727
N2 0.2575 0.7500 0.9883
N3 0.4629 0.7500 0.3419
```


# 2
Structure and simulated powder XRD pattern of Nd2UBeRh6 (DFT lattice parameters and positions (GGA-PBE); copper Kα).

Largest 10 diffraction maxima, in order of rising 2θ, 10 to 80 degrees two-theta:
(1 1 1), 16.74°, 5.295 Å, rel. 19; (2 2 0), 27.51°, 3.242 Å, rel. 40; (3 1 1), 32.38°, 2.765 Å, rel. 31; (2 2 2), 33.86°, 2.647 Å, rel. 71; (4 0 0), 39.30°, 2.293 Å, rel. 100; (3 3 1), 42.99°, 2.104 Å, rel. 26; (4 2 2), 48.64°, 1.872 Å, rel. 16; (4 4 0), 56.79°, 1.621 Å, rel. 66; (6 2 2), 67.78°, 1.383 Å, rel. 24; (4 4 4), 71.24°, 1.324 Å, rel. 22

```
data_Nd2UBeRh6
_space_group_name_H-M_alt 'F m -3 m'
_space_group_IT_number 225
_space_group_name_Hall '-F 4 2 3'
_cell_length_a 9.1712
_cell_length_b 9.1712
_cell_length_c 9.1712
_cell_angle_alpha 90.00
_cell_angle_beta 90.00
_cell_angle_gamma 90.00
loop_
_atom_site_label
_atom_site_fract_x
_atom_site_fract_y
_atom_site_fract_z
Nd1 0.2500 0.2500 0.2500
U1 0.0000 0.0000 0.0000
Be1 0.0000 0.0000 0.5000
Rh1 0.0000 0.0000 0.2667
```


# 3
Structure and simulated powder XRD pattern of Ca3NpSn12 (DFT lattice parameters and positions (GGA-PBE); copper Kα).

Largest 10 diffraction maxima, in order of rising 2θ, 10 to 80 degrees two-theta:
(1 0 1), 19.39°, 4.578 Å, rel. 4; (1 0 2), 21.02°, 4.226 Å, rel. 3; (1 1 4), 32.79°, 2.731 Å, rel. 100; (0 0 8), 37.81°, 2.380 Å, rel. 17; (2 0 0), 38.16°, 2.358 Å, rel. 34; (2 0 8), 54.81°, 1.675 Å, rel. 24; (2 2 0), 55.08°, 1.667 Å, rel. 12; (1 1 12), 65.11°, 1.433 Å, rel. 14; (3 1 4), 65.60°, 1.423 Å, rel. 28; (2 2 8), 68.74°, 1.366 Å, rel. 12

```
data_Ca3NpSn12
_space_group_name_H-M_alt 'P 4/m m m'
_space_group_IT_number 123
_space_group_name_Hall '-P 4 2'
_cell_length_a 4.7164
_cell_length_b 4.7164
_cell_length_c 19.0374
_cell_angle_alpha 90.00
_cell_angle_beta 90.00
_cell_angle_gamma 90.00
loop_
_atom_site_label
_atom_site_fract_x
_atom_site_fract_y
_atom_site_fract_z
Ca1 0.0000 0.0000 0.0000
Ca2 0.0000 0.0000 0.2547
Np1 0.0000 0.0000 0.5000
Sn1 0.0000 0.5000 0.1264
Sn2 0.0000 0.5000 0.3783
Sn3 0.5000 0.5000 0.0000
Sn4 0.5000 0.5000 0.2523
Sn5 0.5000 0.5000 0.5000
```


# 4
Structure and simulated powder XRD pattern of ScZn11Pd (DFT lattice parameters and positions (GGA-PBE); copper Kα).

Largest 10 diffraction maxima, in order of rising 2θ, 10 to 80 degrees two-theta:
(0 2 1), 20.14°, 4.410 Å, rel. 42; (1 3 -2), 35.24°, 2.547 Å, rel. 36; (2 2 0), 40.21°, 2.243 Å, rel. 58; (2 2 -2), 40.58°, 2.223 Å, rel. 100; (1 5 0), 40.74°, 2.215 Å, rel. 64; (0 4 2), 40.93°, 2.205 Å, rel. 96; (2 0 1), 45.24°, 2.004 Å, rel. 38; (2 4 -1), 45.49°, 1.994 Å, rel. 71; (0 6 1), 45.97°, 1.974 Å, rel. 51; (0 2 3), 46.08°, 1.970 Å, rel. 59

```
data_ScZn11Pd
_space_group_name_H-M_alt 'C 1 2/m 1'
_space_group_IT_number 12
_space_group_name_Hall '-C 2y'
_cell_length_a 5.1817
_cell_length_b 12.4895
_cell_length_c 6.7157
_cell_angle_alpha 90.00
_cell_angle_beta 111.95
_cell_angle_gamma 90.00
loop_
_atom_site_label
_atom_site_fract_x
_atom_site_fract_y
_atom_site_fract_z
Sc1 0.0000 0.0000 0.0000
Zn1 0.0000 0.5000 0.5000
Zn2 0.1034 0.3931 0.2110
Zn3 0.1679 0.1746 0.3502
Zn4 0.2500 0.2500 0.0000
Pd1 0.0000 0.0000 0.5000
```


# 5
Structure and simulated powder XRD pattern of Ba8Pt2Se (DFT lattice parameters and positions (GGA-PBE); copper Kα).

Largest 10 diffraction maxima, in order of rising 2θ, 10 to 80 degrees two-theta:
(1 1 -1), 16.67°, 5.317 Å, rel. 57; (0 1 1), 17.38°, 5.102 Å, rel. 54; (0 2 0), 20.10°, 4.419 Å, rel. 73; (1 0 2), 24.18°, 3.681 Å, rel. 80; (2 0 0), 26.79°, 3.328 Å, rel. 54; (-1 2 1), 29.93°, 2.985 Å, rel. 36; (2 2 0), 33.71°, 2.658 Å, rel. 62; (0 2 2), 35.18°, 2.551 Å, rel. 100; (2 4 -2), 44.76°, 2.025 Å, rel. 66; (4 4 -2), 67.16°, 1.394 Å, rel. 28

```
data_Ba8Pt2Se
_space_group_name_H-M_alt 'P -1'
_space_group_IT_number 2
_space_group_name_Hall '-P 1'
_cell_length_a 6.6565
_cell_length_b 10.1982
_cell_length_c 10.2074
_cell_angle_alpha 119.97
_cell_angle_beta 90.01
_cell_angle_gamma 90.00
loop_
_atom_site_label
_atom_site_fract_x
_atom_site_fract_y
_atom_site_fract_z
Ba1 0.2400 0.3332 0.1664
Ba2 0.2546 0.3245 0.6630
Ba3 0.2546 0.8367 0.6612
Ba4 0.2547 0.8387 0.1756
Pt1 0.2687 0.6668 0.8336
Se1 0.5000 0.0000 0.5000
```


# 6
Structure and simulated powder XRD pattern of NaAlPSe4 (DFT lattice parameters and positions (GGA-PBE); copper Kα).

Largest 10 diffraction maxima, in order of rising 2θ, 10 to 80 degrees two-theta:
(1 0 1), 16.64°, 5.326 Å, rel. 21; (2 0 0), 27.04°, 3.297 Å, rel. 23; (1 1 2), 27.49°, 3.244 Å, rel. 100; (2 1 1), 31.92°, 2.804 Å, rel. 17; (2 2 0), 38.61°, 2.332 Å, rel. 24; (2 1 3), 42.93°, 2.107 Å, rel. 7; (3 1 2), 48.05°, 1.893 Å, rel. 28; (2 0 4), 48.88°, 1.863 Å, rel. 25; (3 2 1), 50.94°, 1.793 Å, rel. 12; (1 4 1), 58.61°, 1.575 Å, rel. 8

```
data_NaAlPSe4
_space_group_name_H-M_alt 'I -4'
_space_group_IT_number 82
_space_group_name_Hall 'I -4'
_cell_length_a 6.5949
_cell_length_b 6.5949
_cell_length_c 9.0326
_cell_angle_alpha 90.00
_cell_angle_beta 90.00
_cell_angle_gamma 90.00
loop_
_atom_site_label
_atom_site_fract_x
_atom_site_fract_y
_atom_site_fract_z
Na1 0.0000 0.0000 0.0000
Al1 0.0000 0.0000 0.5000
P1 0.0000 0.5000 0.2500
Se1 0.1996 0.2369 0.3577
```


# 7
Structure and simulated powder XRD pattern of U4Sb8Pd3 (DFT lattice parameters and positions (GGA-PBE); copper Kα).

Largest 10 diffraction maxima, in order of rising 2θ, 10 to 80 degrees two-theta:
(1 0 2), 22.41°, 3.968 Å, rel. 17; (1 1 4), 34.69°, 2.586 Å, rel. 100; (1 0 6), 35.16°, 2.553 Å, rel. 17; (0 0 8), 38.17°, 2.358 Å, rel. 11; (2 0 0), 41.28°, 2.187 Å, rel. 38; (1 0 10), 52.86°, 1.732 Å, rel. 11; (2 0 8), 57.48°, 1.603 Å, rel. 14; (2 2 0), 59.81°, 1.546 Å, rel. 13; (2 1 10), 69.19°, 1.358 Å, rel. 10; (3 1 4), 71.03°, 1.327 Å, rel. 25

```
data_U4Sb8Pd3
_space_group_name_H-M_alt 'P -4 m 2'
_space_group_IT_number 115
_space_group_name_Hall 'P -4 -2'
_cell_length_a 4.3736
_cell_length_b 4.3736
_cell_length_c 18.8627
_cell_angle_alpha 90.00
_cell_angle_beta 90.00
_cell_angle_gamma 90.00
loop_
_atom_site_label
_atom_site_fract_x
_atom_site_fract_y
_atom_site_fract_z
U1 0.0000 0.5000 0.1159
U2 0.0000 0.5000 0.6256
Sb1 0.0000 0.0000 0.2448
Sb2 0.0000 0.5000 0.4086
Sb3 0.0000 0.5000 0.9181
Sb4 0.5000 0.5000 0.2454
Pd1 0.0000 0.0000 0.0000
Pd2 0.0000 0.0000 0.5000
Pd3 0.5000 0.5000 0.5000
```


# 8
Structure and simulated powder XRD pattern of Ho4Te3Pb (DFT lattice parameters and positions (GGA-PBE); copper Kα).

Largest 10 diffraction maxima, in order of rising 2θ, 10 to 80 degrees two-theta:
(1 2 1), 28.88°, 3.091 Å, rel. 100; (1 2 -3), 41.22°, 2.190 Å, rel. 38; (3 2 -1), 41.36°, 2.183 Å, rel. 25; (2 0 2), 41.47°, 2.178 Å, rel. 13; (2 4 -2), 51.06°, 1.789 Å, rel. 14; (0 0 4), 51.21°, 1.784 Å, rel. 7; (4 0 -4), 59.84°, 1.545 Å, rel. 13; (3 2 -5), 67.64°, 1.385 Å, rel. 12; (4 4 0), 67.87°, 1.381 Å, rel. 12; (4 4 -4), 75.14°, 1.264 Å, rel. 13

```
data_Ho4Te3Pb
_space_group_name_H-M_alt 'P 1 2/c 1'
_space_group_IT_number 13
_space_group_name_Hall '-P 2yc'
_cell_length_a 7.5511
_cell_length_b 8.7698
_cell_length_c 7.5796
_cell_angle_alpha 90.00
_cell_angle_beta 109.71
_cell_angle_gamma 90.00
loop_
_atom_site_label
_atom_site_fract_x
_atom_site_fract_y
_atom_site_fract_z
Ho1 0.2442 0.1212 0.0011
Ho2 0.2464 0.3706 0.4944
Te1 0.0000 0.3756 0.7500
Te2 0.5000 0.1271 0.7500
Te3 0.5000 0.3773 0.2500
Pb1 0.0000 0.1253 0.2500
```